This entry pairs a crystal structure of Pm6Nd8Pb with its theoretical XRD peak list. Radiation: copper Kα. Structure: the GGA-PBE geometry in Alexandria.
Kinematic intensities with the Lorentz-polarization factor, no thermal factor.

```
data_Pm6Nd8Pb
_cell_length_a 9.4637
_cell_length_b 9.4637
_cell_length_c 6.7232
_cell_angle_alpha 90.00
_cell_angle_beta 90.00
_cell_angle_gamma 120.00
_symmetry_space_group_name_H-M 'P -3'
_symmetry_Int_Tables_number 147
loop_
_symmetry_equiv_pos_as_xyz
'x,y,z'
'-x,-y,-z'
'-y,x-y,z'
'y,-x+y,-z'
'-x+y,-x,z'
'x-y,x,-z'
loop_
_atom_site_label
_atom_site_fract_x
_atom_site_fract_y
_atom_site_fract_z
Pm1 0.0925 0.6489 0.3350
Nd1 0.0395 0.7695 0.8228
Nd2 0.3333 0.6667 0.8714
Pb1 0.0000 0.0000 0.5000
```

Principal peaks in the range 5° ≤ 2θ ≤ 70°, by angle:
index  Position (°2θ)  d/Å  I_rel
2 0 1  25.5  3.499  24
1 0 2  28.7  3.110  18
1 2 0  28.8  3.098  23
1 2 1  31.8  2.813  100
2 -1 2  32.7  2.740  38
3 0 0  32.8  2.732  12
3 -1 2  39.6  2.277  12
5 -2 1  50.4  1.811  14
4 1 0  51.1  1.788  18
6 -2 1  61.4  1.509  11

This entry pairs a crystal structure of Pm2Nd3Pb4 with its theoretical XRD peak list. Radiation: copper Kα. Structure: the GGA-PBE geometry in Alexandria.
Kinematic intensities with the Lorentz-polarization factor, no thermal factor.

```
data_Pm2Nd3Pb4
_cell_length_a 13.760
_cell_length_b 4.978
_cell_length_c 10.453
_cell_angle_alpha 90.00
_cell_angle_beta 125.12
_cell_angle_gamma 90.00
_symmetry_space_group_name_H-M 'C 1 2/m 1'
_symmetry_Int_Tables_number 12
loop_
_symmetry_equiv_pos_as_xyz
'x,y,z'
'-x,-y,-z'
'-x,y,-z'
'x,-y,z'
'x+1/2,y+1/2,z'
'-x+1/2,-y+1/2,-z'
'-x+1/2,y+1/2,-z'
'x+1/2,-y+1/2,z'
loop_
_atom_site_label
_atom_site_fract_x
_atom_site_fract_y
_atom_site_fract_z
Pm1 0.145 0.000 0.318
Nd1 0.000 0.500 0.000
Nd2 0.147 0.000 0.699
Pb1 0.063 0.500 0.412
Pb2 0.172 0.000 0.029
```

Principal peaks in the range 5° ≤ 2θ ≤ 70°, by angle:
index  Position (°2θ)  d/Å  I_rel
3 1 -1  26.6  3.348  12
3 1 0  29.8  2.996  78
0 0 3  31.4  2.850  24
3 1 -3  31.9  2.807  100
0 2 0  36.1  2.489  37
6 0 -3  39.5  2.282  16
0 2 3  48.6  1.875  17
6 2 -3  54.6  1.682  11
6 2 -1  57.4  1.606  12
3 3 -3  62.3  1.491  18